[1]
Structure and calculated powder diffraction line list of Lu2Sb2O7 (a cell relaxed with GGA-PBE; copper Kα).
Lines closer than 0.1° are merged.

Atomic structure:
```
Lu2Sb2O7
1.0
-5.2496 3.7627 3.8129
5.2496 -3.7627 3.8129
5.2496 3.7627 -3.8129
Lu Sb O
4 4 14
Cartesian
0.0000 0.0000 0.0000
5.2496 0.0000 0.0000
7.8745 -1.5641 1.8807
2.6248 1.5641 1.8807
2.6248 -1.8165 1.8714
7.8745 1.8165 1.8714
0.0000 3.7627 0.1684
0.0000 0.0000 3.9813
1.3312 -0.2919 1.8132
3.9185 -0.2919 1.8132
7.8745 1.7863 -0.0487
1.2422 1.8449 0.0307
4.0074 1.8449 0.0307
3.9185 4.0546 -1.9997
6.5808 0.2919 1.8132
-1.1900 3.2206 1.9111
1.1900 -0.5421 5.7241
-2.6248 1.9763 3.7642
1.2422 1.9178 3.8436
4.0074 1.9178 3.8436
1.1900 4.3047 1.9111
4.0596 4.3047 1.9111
```

Most intense lines, 2θ from 10° to 90°, in order of rising 2θ:
- 28.94°, I 97
- 29.20°, I 100
- 33.46°, I 44
- 34.16°, I 25
- 47.70°, I 17
- 48.57°, I 55
- 56.91°, I 30
- 57.37°, I 21
- 58.14°, I 14
- 78.41°, I 14

[2]
Structure and calculated powder diffraction line list of LuScO3 (a cell relaxed with GGA-PBE; copper Kα).
Lines closer than 0.1° are merged.

Atomic structure:
```
LuScO3
1.0
5.6896 0.0000 0.0000
0.0000 7.9422 0.0000
0.0000 0.0000 5.3792
Lu Sc O
4 4 12
Cartesian
0.3617 1.9855 0.0998
2.4831 5.9566 2.7893
3.2065 1.9855 2.5898
5.3279 5.9566 5.2794
0.0000 0.0000 2.6896
0.0000 3.9711 2.6896
2.8448 0.0000 0.0000
2.8448 3.9711 0.0000
0.3678 5.9566 1.9445
1.0637 4.5412 4.3910
1.0637 7.3721 4.3910
1.7811 0.5701 1.7014
1.7811 3.4010 1.7014
2.4770 1.9855 4.6341
3.2126 5.9566 0.7451
3.9085 4.5412 3.6777
3.9085 7.3721 3.6777
4.6259 0.5701 0.9881
4.6259 3.4010 0.9881
5.3218 1.9855 3.4347
```

Most intense lines, 2θ from 10° to 90°, in order of rising 2θ:
- 22.39°, I 25
- 22.75°, I 37
- 25.40°, I 22
- 31.45°, I 17
- 32.13°, I 100
- 33.31°, I 22
- 46.46°, I 15
- 47.94°, I 15
- 52.44°, I 21
- 58.77°, I 28

[3]
Structure and calculated powder diffraction line list of LuScO3 (a cell relaxed with GGA-PBE; copper Kα).
Lines closer than 0.1° are merged.

Atomic structure:
```
LuScO3
1.0
6.1090 0.0000 0.0000
-3.0545 5.2906 0.0000
0.0000 0.0000 12.1143
Lu Sc O
6 6 18
Cartesian
0.0000 0.0000 0.0000
0.0000 0.0000 6.0571
0.0000 3.5270 5.5946
0.0000 3.5270 11.6517
3.0545 1.7635 5.5946
3.0545 1.7635 11.6517
-1.0185 1.7641 2.7606
-2.0360 3.5264 8.8177
2.0370 0.0000 2.7606
1.0185 1.7641 8.8177
4.0720 0.0000 8.8177
2.0360 3.5264 2.7606
0.0000 0.0000 2.4117
0.0000 0.0000 8.4689
-0.9355 1.6204 4.8239
-1.1036 1.9115 0.7182
-1.9509 3.3791 6.7753
-2.1190 3.6702 10.8810
1.8710 0.0000 4.8239
0.9355 1.6204 10.8810
0.0000 3.5270 3.0400
0.0000 3.5270 9.0972
2.2072 0.0000 0.7182
1.1036 1.9115 6.7753
3.9018 0.0000 6.7753
1.9509 3.3791 0.7182
3.0545 1.7635 3.0400
3.0545 1.7635 9.0972
4.2380 0.0000 10.8810
2.1190 3.6702 4.8239
```

Most intense lines, 2θ from 10° to 90°, in order of rising 2θ:
- 14.62°, I 63
- 29.24°, I 56
- 29.49°, I 32
- 32.84°, I 100
- 42.01°, I 43
- 51.84°, I 33
- 54.48°, I 23
- 60.78°, I 24
- 62.74°, I 17
- 85.65°, I 15

[4]
Structure and calculated powder diffraction line list of LuSeO3 (a cell relaxed with GGA-PBE; copper Kα).
Lines closer than 0.1° are merged.

Atomic structure:
```
LuSeO3
1.0
5.8570 0.0000 0.0000
0.0000 12.4283 0.0000
-2.3592 0.0000 8.3305
Lu Se O
8 8 24
Cartesian
0.4583 3.0521 1.1998
-0.7213 3.1620 5.3651
1.3088 6.9519 0.7058
0.1292 11.6905 4.8710
3.3687 0.7378 3.4595
2.1891 5.4764 7.6247
4.2192 9.2663 2.9654
3.0396 9.3761 7.1307
-0.8298 6.4043 5.6057
0.3498 12.2382 1.4405
1.4831 8.2152 4.1341
0.3035 10.4272 8.2993
3.1944 2.0010 0.0312
2.0148 4.2131 4.1964
3.1481 0.1901 6.8900
4.3277 6.0240 2.7248
-0.3783 7.3968 2.3685
-1.5579 11.2456 6.5338
-0.8045 1.1613 4.8401
0.3751 5.0528 0.6749
-0.9103 9.1868 8.3016
0.2693 9.4556 4.1363
-0.5178 2.8437 7.6050
0.6618 3.3704 3.4397
0.1615 6.4415 7.1167
1.3410 12.2009 2.9514
2.1480 8.3485 2.5413
0.9684 10.2939 6.7065
2.5294 2.1344 1.6240
1.3498 4.0797 5.7893
2.1568 0.2274 5.3791
3.3364 5.9868 1.2138
2.8360 9.0579 4.8908
4.0156 9.5845 0.7255
3.2286 2.9726 4.1942
4.4082 3.2415 0.0289
3.1228 7.3755 7.6556
4.3024 11.2669 3.4904
5.0558 1.1827 1.7967
3.8762 5.0315 5.9620
```

Most intense lines, 2θ from 10° to 90°, in order of rising 2θ:
- 12.79°, I 31
- 22.51°, I 24
- 23.96°, I 77
- 26.71°, I 100
- 29.95°, I 76
- 30.43°, I 69
- 31.46°, I 42
- 32.62°, I 79
- 44.50°, I 29
- 55.67°, I 35

[5]
Structure and calculated powder diffraction line list of Lu2SeO2 (a cell relaxed with GGA-PBE; copper Kα).
Lines closer than 0.1° are merged.

Atomic structure:
```
Lu2SeO2
1.0
3.7520 0.0000 0.0000
-1.8760 3.2494 0.0000
0.0000 0.0000 6.7105
Lu Se O
2 1 2
Cartesian
0.0000 2.1662 1.9645
1.8760 1.0831 4.7460
0.0000 0.0000 0.0000
0.0000 2.1662 4.1944
1.8760 1.0831 2.5161
```

Most intense lines, 2θ from 10° to 90°, in order of rising 2θ:
- 26.57°, I 12
- 30.57°, I 100
- 38.57°, I 40
- 40.32°, I 11
- 48.53°, I 32
- 49.47°, I 16
- 58.45°, I 16
- 62.28°, I 10
- 64.87°, I 16
- 79.31°, I 14

[6]
Structure and calculated powder diffraction line list of Lu2Si2O7 (a cell relaxed with GGA-PBE; copper Kα).
Lines closer than 0.1° are merged.

Atomic structure:
```
Lu2Si2O7
1.0
3.3841 -4.4351 0.0000
3.3841 4.4351 0.0000
-1.0099 0.0000 4.6544
Lu Si O
2 2 7
Cartesian
3.3841 2.7371 0.0000
3.3841 -2.7371 0.0000
1.2951 0.0000 2.7468
4.4633 0.0000 1.9075
0.9982 1.3521 3.6427
0.4845 0.0000 1.3200
0.9982 -1.3521 3.6427
2.8792 0.0000 2.3272
4.7601 1.3521 1.0117
5.2738 0.0000 3.3344
4.7601 -1.3521 1.0117
```

Most intense lines, 2θ from 10° to 90°, in order of rising 2θ:
- 16.72°, I 42
- 19.07°, I 87
- 20.02°, I 26
- 26.96°, I 28
- 27.57°, I 34
- 27.79°, I 100
- 29.63°, I 65
- 33.19°, I 52
- 33.81°, I 38
- 40.04°, I 39

[7]
Structure and calculated powder diffraction line list of Lu2Sn2O7 (a cell relaxed with GGA-PBE; copper Kα).
Lines closer than 0.1° are merged.

Atomic structure:
```
Lu2Sn2O7
1.0
0.0000 5.1867 5.1867
5.1867 0.0000 5.1867
5.1867 5.1867 0.0000
Lu Sn O
4 4 14
Cartesian
0.0000 0.0000 0.0000
2.5933 2.5933 0.0000
2.5933 0.0000 2.5933
0.0000 2.5933 2.5933
5.1867 2.5933 2.5933
2.5933 5.1867 2.5933
2.5933 2.5933 5.1867
5.1867 5.1867 5.1867
1.2967 1.2967 1.2967
3.8900 3.8900 1.6333
3.8900 1.6333 3.8900
6.1467 3.8900 3.8900
6.4834 6.4834 4.2267
6.4834 4.2267 6.4834
8.7401 6.4834 6.4834
1.6333 3.8900 3.8900
3.8900 6.1467 3.8900
3.8900 3.8900 6.1467
4.2267 6.4834 6.4834
6.4834 8.7401 6.4834
6.4834 6.4834 8.7401
9.0767 9.0767 9.0767
```

Most intense lines, 2θ from 10° to 90°, in order of rising 2θ:
- 14.79°, I 4
- 29.84°, I 100
- 34.59°, I 34
- 37.80°, I 3
- 49.72°, I 48
- 59.07°, I 45
- 61.98°, I 10
- 72.96°, I 7
- 80.76°, I 19
- 83.32°, I 15

[8]
Structure and calculated powder diffraction line list of SrLu2O4 (a cell relaxed with GGA-PBE; copper Kα).
Lines closer than 0.1° are merged.

Atomic structure:
```
SrLu2O4
1.0
0.0000 4.8183 4.8183
4.8183 0.0000 4.8183
4.8183 4.8183 0.0000
Sr Lu O
2 4 8
Cartesian
1.2046 1.2046 1.2046
8.4321 8.4321 8.4321
4.8183 2.4092 2.4092
2.4092 4.8183 2.4092
2.4092 2.4092 4.8183
4.8183 4.8183 4.8183
2.5854 2.5854 2.5854
4.6421 4.6421 2.5854
4.6421 2.5854 4.6421
7.0513 4.9946 4.9946
2.5854 4.6421 4.6421
4.9946 7.0513 4.9946
4.9946 4.9946 7.0513
7.0513 7.0513 7.0513
```

Most intense lines, 2θ from 10° to 90°, in order of rising 2θ:
- 15.93°, I 45
- 30.77°, I 100
- 32.18°, I 44
- 37.33°, I 28
- 49.12°, I 41
- 53.81°, I 45
- 63.28°, I 13
- 64.10°, I 22
- 75.83°, I 22
- 87.71°, I 13

[9]
Structure and calculated powder diffraction line list of SrLu2O4 (a cell relaxed with GGA-PBE; copper Kα).
Lines closer than 0.1° are merged.

Atomic structure:
```
SrLu2O4
1.0
1.6563 -5.4733 0.0000
1.6563 5.4733 0.0000
0.0000 0.0000 11.0249
Sr Lu O
2 4 8
Cartesian
1.6563 4.2615 8.2686
1.6563 -4.2615 2.7562
1.6563 1.4665 6.3034
1.6563 1.4665 10.2339
1.6563 -1.4665 0.7910
1.6563 -1.4665 4.7215
0.0000 0.0000 0.0000
0.0000 0.0000 5.5124
1.6563 2.5851 1.1779
1.6563 2.5851 4.3345
1.6563 0.5896 8.2686
1.6563 -0.5896 2.7562
1.6563 -2.5851 6.6904
1.6563 -2.5851 9.8469
```

Most intense lines, 2θ from 10° to 90°, in order of rising 2θ:
- 16.08°, I 18
- 29.28°, I 100
- 32.58°, I 23
- 32.72°, I 24
- 36.64°, I 20
- 37.57°, I 19
- 40.25°, I 24
- 50.41°, I 15
- 56.27°, I 27
- 63.96°, I 17